# 1
Starting from a cell relaxed with GGA-PBE, the X-ray powder pattern of InAg2Te was simulated for copper Kα.
Intensities are scaled so that the largest is 100.

Crystal structure
Cell: 5.834 5.834 5.834 Å, 136.56 136.56 63.11°
Fractional positions:
In: 0.000 0.000 0.000
Ag: 0.500 0.500 0.000
Ag: 0.750 0.250 0.500
Te: 0.250 0.750 0.500

Principal peaks in the range 5° ≤ 2θ ≤ 70°, most intense first:
2θ 34.5, intensity 100.0; 2θ 41.8, intensity 28.9; 2θ 56.5, intensity 23.2; 2θ 36.1, intensity 21.9; 2θ 63.9, intensity 15.7; 2θ 60.7, intensity 9.2

# 2
Starting from a cell relaxed with GGA-PBE, the X-ray powder pattern of Al3InS6 was simulated for copper Kα.
Intensities are scaled so that the largest is 100.

Crystal structure
Cell: 12.028 3.499 12.433 Å, 90.00 111.91 90.00°
Fractional positions:
Al: 0.070 0.250 0.300
Al: 0.285 0.750 0.297
Al: 0.296 0.250 0.029
Al: 0.704 0.750 0.971
Al: 0.715 0.250 0.703
Al: 0.930 0.750 0.700
In: 0.220 0.750 0.787
In: 0.780 0.250 0.213
S: 0.066 0.250 0.646
S: 0.086 0.750 0.182
S: 0.167 0.750 0.968
S: 0.267 0.250 0.426
S: 0.379 0.250 0.226
S: 0.382 0.250 0.887
S: 0.618 0.750 0.113
S: 0.621 0.750 0.774
S: 0.733 0.750 0.574
S: 0.833 0.250 0.032
S: 0.914 0.250 0.818
S: 0.934 0.750 0.354

Principal peaks in the range 5° ≤ 2θ ≤ 70°, most intense first:
2θ 7.7, intensity 100.0; 2θ 14.4, intensity 97.2; 2θ 15.9, intensity 97.2; 2θ 15.4, intensity 84.8; 2θ 32.6, intensity 83.9; 2θ 7.9, intensity 72.7

# 3
Starting from a cell relaxed with GGA-PBE, the X-ray powder pattern of Tl2Ge2O7 was simulated for copper Kα.
Intensities are scaled so that the largest is 100.

Crystal structure
Cell: 7.119 7.119 7.119 Å, 60.00 60.00 60.00°
Fractional positions:
Tl: 0.000 0.000 0.000
Tl: 0.000 0.000 0.500
Tl: 0.000 0.500 0.000
Tl: 0.500 0.000 0.000
Ge: 0.000 0.500 0.500
Ge: 0.500 0.000 0.500
Ge: 0.500 0.500 0.000
Ge: 0.500 0.500 0.500
O: 0.125 0.125 0.125
O: 0.175 0.175 0.575
O: 0.175 0.575 0.175
O: 0.175 0.575 0.575
O: 0.425 0.425 0.825
O: 0.425 0.825 0.425
O: 0.425 0.825 0.825
O: 0.575 0.175 0.175
O: 0.575 0.175 0.575
O: 0.575 0.575 0.175
O: 0.825 0.425 0.425
O: 0.825 0.425 0.825
O: 0.825 0.825 0.425
O: 0.875 0.875 0.875

Principal peaks in the range 5° ≤ 2θ ≤ 70°, most intense first:
2θ 30.8, intensity 100.0; 2θ 51.3, intensity 44.7; 2θ 61.1, intensity 43.2; 2θ 35.7, intensity 35.0; 2θ 15.2, intensity 21.2; 2θ 39.0, intensity 14.5

# 4
Starting from a cell relaxed with GGA-PBE, the X-ray powder pattern of La2Pd3Au was simulated for copper Kα.
Intensities are scaled so that the largest is 100.

Crystal structure
Cell: 7.460 4.036 17.792 Å, 90.00 90.00 90.00°
Fractional positions:
La: 0.098 0.250 0.205
La: 0.166 0.250 0.430
La: 0.334 0.750 0.930
La: 0.402 0.750 0.705
La: 0.598 0.250 0.295
La: 0.666 0.250 0.070
La: 0.834 0.750 0.570
La: 0.902 0.750 0.795
Pd: 0.094 0.250 0.653
Pd: 0.218 0.250 0.806
Pd: 0.228 0.750 0.552
Pd: 0.272 0.250 0.052
Pd: 0.282 0.750 0.306
Pd: 0.406 0.750 0.153
Pd: 0.594 0.250 0.847
Pd: 0.718 0.250 0.694
Pd: 0.728 0.750 0.948
Pd: 0.772 0.250 0.448
Pd: 0.782 0.750 0.194
Pd: 0.906 0.750 0.347
Au: 0.008 0.750 0.065
Au: 0.492 0.250 0.565
Au: 0.508 0.750 0.435
Au: 0.992 0.250 0.935

Principal peaks in the range 5° ≤ 2θ ≤ 70°, most intense first:
2θ 32.3, intensity 100.0; 2θ 36.1, intensity 77.6; 2θ 41.6, intensity 43.7; 2θ 44.9, intensity 36.4; 2θ 32.7, intensity 32.4; 2θ 40.6, intensity 26.7

# 5
Starting from a cell relaxed with GGA-PBE, the X-ray powder pattern of Pu5Pt4 was simulated for copper Kα.
Intensities are scaled so that the largest is 100.

Crystal structure
Cell: 4.795 4.795 8.781 Å, 90.00 90.00 120.00°
Fractional positions:
Pu: 0.000 0.000 0.000
Pu: 0.333 0.667 0.126
Pu: 0.333 0.667 0.441
Pu: 0.667 0.333 0.559
Pu: 0.667 0.333 0.874
Pt: 0.000 0.000 0.333
Pt: 0.000 0.000 0.667
Pt: 0.333 0.667 0.782
Pt: 0.667 0.333 0.218

Principal peaks in the range 5° ≤ 2θ ≤ 70°, most intense first:
2θ 37.6, intensity 100.0; 2θ 67.7, intensity 27.6; 2θ 54.2, intensity 17.6; 2θ 67.9, intensity 8.6; 2θ 23.7, intensity 1.3; 2θ 46.8, intensity 0.7

# 6
Starting from a cell relaxed with GGA-PBE, the X-ray powder pattern of NdRe2HgO8 was simulated for copper Kα.
Intensities are scaled so that the largest is 100.

Crystal structure
Cell: 6.923 6.923 6.923 Å, 59.76 59.76 59.76°
Fractional positions:
Nd: 0.000 0.000 0.000
Re: 0.250 0.250 0.250
Re: 0.750 0.750 0.750
Hg: 0.500 0.500 0.500
O: 0.145 0.145 0.564
O: 0.145 0.564 0.145
O: 0.146 0.146 0.146
O: 0.436 0.855 0.855
O: 0.564 0.145 0.145
O: 0.854 0.854 0.854
O: 0.855 0.436 0.855
O: 0.855 0.855 0.436

Principal peaks in the range 5° ≤ 2θ ≤ 70°, most intense first:
2θ 25.8, intensity 100.0; 2θ 45.5, intensity 31.7; 2θ 36.8, intensity 13.7; 2θ 45.3, intensity 10.7; 2θ 59.8, intensity 9.1; 2θ 59.9, intensity 9.1